The following is a calculated X-ray powder pattern of SrCa7Mn6Cr2O21. It was derived from a structure optimized by DFT (GGA+U), using Cu Kα X-rays.
Neutral-atom scattering factors, no anomalous dispersion.

Structural model:
Cell: 7.7290 7.7978 7.8088 Å, 90.01 90.07 90.36°
Positions (direct):
Sr 0.0000 0.0000 0.0000
Ca 0.0020 0.0126 0.5217
Ca 0.0145 0.5092 0.5097
Ca 0.0157 0.5017 0.9959
Ca 0.4530 0.9795 0.5226
Ca 0.4565 0.9760 0.9820
Ca 0.4726 0.4964 0.5042
Ca 0.4737 0.4993 0.0080
Mn 0.2380 0.7330 0.2557
Mn 0.2533 0.2446 0.7535
Mn 0.2539 0.7380 0.7521
Mn 0.2609 0.2379 0.2548
Mn 0.7455 0.7425 0.7508
Mn 0.7643 0.2537 0.7482
Cr 0.7401 0.2276 0.2595
Cr 0.7516 0.7620 0.2585
O 0.0097 0.2250 0.7578
O 0.2194 0.7503 0.5111
O 0.2301 0.4806 0.2592
O 0.2345 0.4959 0.7498
O 0.2478 0.7368 0.9971
O 0.2489 0.2284 0.5023
O 0.2502 0.9849 0.7567
O 0.2520 0.9881 0.2509
O 0.2663 0.2396 0.0056
O 0.5003 0.7395 0.7367
O 0.5011 0.7101 0.2686
O 0.5124 0.2511 0.7455
O 0.5219 0.2926 0.2629
O 0.7516 0.7441 0.0007
O 0.7713 0.9913 0.7420
O 0.7858 0.7255 0.5087
O 0.7975 0.0013 0.2734
O 0.8046 0.5047 0.7622
O 0.8240 0.2867 0.0570
O 0.8274 0.2897 0.4611
O 0.9901 0.6938 0.2386

Largest 10 diffraction maxima, in order of rising 2θ, 2θ = 10–90°:
hkl  2θ (°)  I_rel
2 -2 0  32.48  100
2 0 2  32.60  68
2 2 0  32.73  33
0 0 4  46.55  56
4 0 0  47.03  22
2 -4 2  57.89  25
2 2 4  58.04  11
4 -2 2  58.16  23
0 4 -4  67.96  14
4 0 -4  68.30  12

=====

The following is a calculated X-ray powder pattern of SrCa7Mn6Cr2O23. It was derived from a structure optimized by DFT (GGA+U), using Cu Kα X-rays.
Neutral-atom scattering factors, no anomalous dispersion.

Structural model:
Cell: 7.6363 7.6692 7.6949 Å, 89.80 89.84 89.95°
Positions (direct):
Sr 0.0000 0.0000 0.0000
Ca 0.0068 0.4942 0.4864
Ca 0.0087 0.9945 0.4837
Ca 0.0117 0.4719 0.0114
Ca 0.4691 0.4747 0.4955
Ca 0.4768 0.0036 0.9871
Ca 0.4789 0.0129 0.4864
Ca 0.4982 0.4914 0.0099
Mn 0.2437 0.2451 0.7456
Mn 0.2469 0.2449 0.2459
Mn 0.2501 0.7452 0.2411
Mn 0.7405 0.7437 0.2619
Mn 0.7437 0.2482 0.2542
Mn 0.7456 0.2530 0.7541
Cr 0.2422 0.7405 0.7416
Cr 0.7343 0.7344 0.7279
O 0.1875 0.7200 0.9915
O 0.2180 0.2193 0.4969
O 0.2340 0.4934 0.7081
O 0.2499 0.4962 0.2672
O 0.2517 0.9954 0.2245
O 0.2533 0.9923 0.7681
O 0.2756 0.2690 0.9949
O 0.3029 0.7646 0.4889
O 0.4930 0.7263 0.7977
O 0.4956 0.2467 0.7139
O 0.4959 0.2496 0.2850
O 0.5027 0.7542 0.1776
O 0.6907 0.6831 0.5124
O 0.7102 0.2052 0.0074
O 0.7388 0.9568 0.7714
O 0.7456 0.9944 0.3107
O 0.7502 0.4992 0.1990
O 0.7665 0.5342 0.8349
O 0.7721 0.2971 0.5057
O 0.9903 0.7520 0.6809
O 0.9948 0.2429 0.7827
O 0.9954 0.2462 0.2247
O 0.9954 0.7481 0.2863

Largest 10 diffraction maxima, in order of rising 2θ, 2θ = 10–90°:
hkl  2θ (°)  I_rel
0 2 2  32.96  55
2 0 -2  33.09  100
0 0 4  47.25  19
0 4 0  47.42  22
4 0 0  47.63  22
2 -2 4  58.92  21
4 2 2  59.06  21
4 2 -2  59.20  14
0 4 -4  69.28  9
4 -4 0  69.48  15